1.
The following is a theoretical X-ray diffraction stick pattern of Dy2Er2Co. It was derived from the GGA-PBE geometry in OQMD, using Cu Kα, 1.54184 Å.
Peak positions follow from Bragg's law for the DFT cell and can differ from measured ones.

Principal peaks in the range 2θ from 10° to 90°, low angle first:
| Position (°2θ) | I_rel |
| --- | --- |
| 29.8 | 46.0 |
| 30.0 | 30.3 |
| 31.1 | 28.2 |
| 31.4 | 43.1 |
| 32.3 | 100.0 |
| 34.9 | 20.1 |
| 35.8 | 20.2 |
| 36.9 | 54.7 |
| 59.9 | 17.3 |
| 61.4 | 19.6 |

Atomic structure:
Unit cell a=6.220 b=6.220 c=10.181 alpha=111.22 beta=111.22 gamma=46.08
Element x y z (fractional)
Dy 0.004 0.004 0.335
Dy 0.361 0.361 0.802
Dy 0.639 0.639 0.198
Dy 0.996 0.996 0.665
Er 0.151 0.151 0.991
Er 0.328 0.328 0.409
Er 0.672 0.672 0.591
Er 0.849 0.849 0.009
Co 0.394 0.394 0.166
Co 0.606 0.606 0.834


2.
The following is a theoretical X-ray diffraction stick pattern of Dy2ErFe3Co6. It was derived from the GGA-PBE geometry in OQMD, using Cu Kα, 1.54184 Å.
Peak positions follow from Bragg's law for the DFT cell and can differ from measured ones.

Principal peaks in the range 2θ from 10° to 90°, low angle first:
| Position (°2θ) | I_rel |
| --- | --- |
| 33.5 | 53.1 |
| 35.6 | 57.4 |
| 36.7 | 38.4 |
| 41.5 | 42.6 |
| 42.5 | 100.0 |
| 62.6 | 17.9 |
| 64.6 | 14.4 |
| 68.7 | 22.8 |
| 70.5 | 23.8 |
| 75.3 | 22.0 |

Atomic structure:
Unit cell a=8.403 b=8.403 c=8.403 alpha=34.95 beta=34.95 gamma=34.95
Element x y z (fractional)
Dy 0.141 0.141 0.141
Dy 0.859 0.859 0.859
Er 0.000 0.000 0.000
Fe 0.333 0.333 0.333
Fe 0.500 0.500 0.500
Fe 0.667 0.667 0.667
Co 0.081 0.582 0.582
Co 0.418 0.418 0.919
Co 0.418 0.919 0.418
Co 0.582 0.081 0.582
Co 0.582 0.582 0.081
Co 0.919 0.418 0.418


3.
The following is a theoretical X-ray diffraction stick pattern of Dy2ErFe6Co2Ni. It was derived from the GGA-PBE geometry in OQMD, using Cu Kα, 1.54184 Å.
Peak positions follow from Bragg's law for the DFT cell and can differ from measured ones.

Principal peaks in the range 2θ from 10° to 90°, low angle first:
| Position (°2θ) | I_rel |
| --- | --- |
| 20.8 | 11.3 |
| 32.9 | 46.8 |
| 35.9 | 85.2 |
| 41.8 | 32.6 |
| 42.3 | 100.0 |
| 62.5 | 14.7 |
| 64.4 | 21.1 |
| 68.8 | 21.5 |
| 69.0 | 12.1 |
| 75.9 | 18.2 |

Atomic structure:
Unit cell a=8.654 b=8.654 c=8.654 alpha=33.68 beta=33.68 gamma=33.68
Element x y z (fractional)
Dy 0.142 0.142 0.142
Dy 0.858 0.858 0.858
Er 0.000 0.000 0.000
Fe 0.080 0.582 0.582
Fe 0.418 0.418 0.920
Fe 0.418 0.920 0.418
Fe 0.582 0.080 0.582
Fe 0.582 0.582 0.080
Fe 0.920 0.418 0.418
Co 0.333 0.333 0.333
Co 0.667 0.667 0.667
Ni 0.500 0.500 0.500


4.
The following is a theoretical X-ray diffraction stick pattern of Dy2ErFeCo2Ni6. It was derived from the GGA-PBE geometry in OQMD, using Cu Kα, 1.54184 Å.
Peak positions follow from Bragg's law for the DFT cell and can differ from measured ones.

Principal peaks in the range 2θ from 10° to 90°, low angle first:
| Position (°2θ) | I_rel |
| --- | --- |
| 33.2 | 57.0 |
| 36.3 | 94.1 |
| 42.4 | 41.7 |
| 42.8 | 100.0 |
| 46.3 | 26.3 |
| 63.4 | 17.0 |
| 65.3 | 24.3 |
| 69.7 | 14.5 |
| 69.8 | 21.6 |
| 77.1 | 21.4 |

Atomic structure:
Unit cell a=8.593 b=8.593 c=8.593 alpha=33.46 beta=33.46 gamma=33.46
Element x y z (fractional)
Dy 0.140 0.140 0.140
Dy 0.860 0.860 0.860
Er 0.000 0.000 0.000
Fe 0.500 0.500 0.500
Co 0.333 0.333 0.333
Co 0.667 0.667 0.667
Ni 0.083 0.581 0.581
Ni 0.419 0.419 0.917
Ni 0.419 0.917 0.419
Ni 0.581 0.083 0.581
Ni 0.581 0.581 0.083
Ni 0.917 0.419 0.419


5.
The following is a theoretical X-ray diffraction stick pattern of DyEr2Fe6Co2Ni. It was derived from the GGA-PBE geometry in OQMD, using Cu Kα, 1.54184 Å.
Peak positions follow from Bragg's law for the DFT cell and can differ from measured ones.

Principal peaks in the range 2θ from 10° to 90°, low angle first:
| Position (°2θ) | I_rel |
| --- | --- |
| 20.8 | 11.6 |
| 33.0 | 47.3 |
| 35.8 | 52.8 |
| 36.0 | 33.0 |
| 41.8 | 32.7 |
| 42.4 | 100.0 |
| 62.6 | 15.0 |
| 68.9 | 29.6 |
| 69.1 | 11.8 |
| 75.9 | 18.5 |

Atomic structure:
Unit cell a=8.629 b=8.629 c=8.629 alpha=33.77 beta=33.77 gamma=33.77
Element x y z (fractional)
Dy 0.000 0.000 0.000
Er 0.142 0.142 0.142
Er 0.858 0.858 0.858
Fe 0.080 0.583 0.583
Fe 0.417 0.417 0.920
Fe 0.417 0.920 0.417
Fe 0.583 0.080 0.583
Fe 0.583 0.583 0.080
Fe 0.920 0.417 0.417
Co 0.333 0.333 0.333
Co 0.667 0.667 0.667
Ni 0.500 0.500 0.500


6.
The following is a theoretical X-ray diffraction stick pattern of DyEr2FeCo6Ni2. It was derived from the GGA-PBE geometry in OQMD, using Cu Kα, 1.54184 Å.
Peak positions follow from Bragg's law for the DFT cell and can differ from measured ones.

Principal peaks in the range 2θ from 10° to 90°, low angle first:
| Position (°2θ) | I_rel |
| --- | --- |
| 33.4 | 52.8 |
| 36.2 | 60.2 |
| 36.4 | 42.5 |
| 42.2 | 41.1 |
| 42.8 | 100.0 |
| 63.2 | 17.3 |
| 65.2 | 14.7 |
| 69.6 | 22.4 |
| 69.8 | 15.8 |
| 76.7 | 22.2 |

Atomic structure:
Unit cell a=8.521 b=8.521 c=8.521 alpha=33.90 beta=33.90 gamma=33.90
Element x y z (fractional)
Dy 0.000 0.000 0.000
Er 0.139 0.139 0.139
Er 0.861 0.861 0.861
Fe 0.500 0.500 0.500
Co 0.080 0.584 0.584
Co 0.416 0.416 0.920
Co 0.416 0.920 0.416
Co 0.584 0.080 0.584
Co 0.584 0.584 0.080
Co 0.920 0.416 0.416
Ni 0.334 0.334 0.334
Ni 0.666 0.666 0.666


7.
The following is a theoretical X-ray diffraction stick pattern of Dy2ErFeCo6Ni2. It was derived from the GGA-PBE geometry in OQMD, using Cu Kα, 1.54184 Å.
Peak positions follow from Bragg's law for the DFT cell and can differ from measured ones.

Principal peaks in the range 2θ from 10° to 90°, low angle first:
| Position (°2θ) | I_rel |
| --- | --- |
| 20.9 | 12.8 |
| 33.3 | 47.9 |
| 36.1 | 54.3 |
| 36.3 | 40.4 |
| 42.1 | 37.8 |
| 42.7 | 100.0 |
| 63.1 | 15.6 |
| 65.1 | 14.0 |
| 69.5 | 33.3 |
| 76.6 | 20.2 |

Atomic structure:
Unit cell a=8.549 b=8.549 c=8.549 alpha=33.83 beta=33.83 gamma=33.83
Element x y z (fractional)
Dy 0.139 0.139 0.139
Dy 0.861 0.861 0.861
Er 0.000 0.000 0.000
Fe 0.500 0.500 0.500
Co 0.080 0.583 0.583
Co 0.417 0.417 0.920
Co 0.417 0.920 0.417
Co 0.583 0.080 0.583
Co 0.583 0.583 0.080
Co 0.920 0.417 0.417
Ni 0.334 0.334 0.334
Ni 0.666 0.666 0.666


8.
The following is a theoretical X-ray diffraction stick pattern of DyErGaCo2. It was derived from the GGA-PBE geometry in OQMD, using Cu Kα, 1.54184 Å.
Peak positions follow from Bragg's law for the DFT cell and can differ from measured ones.

Principal peaks in the range 2θ from 10° to 90°, low angle first:
| Position (°2θ) | I_rel |
| --- | --- |
| 27.3 | 17.1 |
| 31.5 | 31.0 |
| 34.1 | 100.0 |
| 36.1 | 73.1 |
| 39.4 | 51.2 |
| 42.2 | 33.4 |
| 47.3 | 24.9 |
| 48.6 | 23.2 |
| 62.0 | 30.0 |
| 65.2 | 17.6 |

Atomic structure:
Unit cell a=3.847 b=6.787 c=6.787 alpha=32.07 beta=90.00 gamma=90.00
Element x y z (fractional)
Dy 0.000 0.000 0.000
Er 0.000 0.734 0.734
Ga 0.500 0.366 0.366
Co 0.500 0.168 0.168
Co 0.500 0.568 0.568


9.
The following is a theoretical X-ray diffraction stick pattern of Dy2Er2InCo2Ge4. It was derived from the GGA-PBE geometry in OQMD, using Cu Kα, 1.54184 Å.
Peak positions follow from Bragg's law for the DFT cell and can differ from measured ones.

Principal peaks in the range 2θ from 10° to 90°, low angle first:
| Position (°2θ) | I_rel |
| --- | --- |
| 28.0 | 27.0 |
| 33.5 | 77.9 |
| 34.8 | 100.0 |
| 35.1 | 33.1 |
| 36.3 | 52.5 |
| 36.4 | 31.4 |
| 37.4 | 34.7 |
| 40.5 | 35.1 |
| 43.0 | 52.2 |
| 63.6 | 25.7 |

Atomic structure:
Unit cell a=7.970 b=7.970 c=7.015 alpha=107.08 beta=107.08 gamma=30.63
Element x y z (fractional)
Dy 0.154 0.154 0.440
Dy 0.846 0.846 0.560
Er 0.091 0.091 0.891
Er 0.909 0.909 0.109
In 0.500 0.500 0.500
Co 0.280 0.280 0.871
Co 0.720 0.720 0.129
Ge 0.294 0.294 0.229
Ge 0.432 0.432 0.841
Ge 0.568 0.568 0.159
Ge 0.706 0.706 0.771


10.
The following is a theoretical X-ray diffraction stick pattern of La3DyEr2CoTe2. It was derived from the GGA-PBE geometry in OQMD, using Cu Kα, 1.54184 Å.
Peak positions follow from Bragg's law for the DFT cell and can differ from measured ones.

Principal peaks in the range 2θ from 10° to 90°, low angle first:
| Position (°2θ) | I_rel |
| --- | --- |
| 30.3 | 100.0 |
| 32.1 | 84.6 |
| 32.7 | 68.4 |
| 36.5 | 23.6 |
| 39.1 | 42.1 |
| 44.3 | 28.1 |
| 49.8 | 22.1 |
| 55.8 | 35.6 |
| 59.1 | 25.4 |
| 61.9 | 13.5 |

Atomic structure:
Unit cell a=4.089 b=8.525 c=8.525 alpha=120.10 beta=90.00 gamma=90.00
Element x y z (fractional)
La 0.000 0.000 0.000
La 0.000 0.401 0.804
La 0.000 0.804 0.401
Dy 0.500 0.629 0.629
Er 0.500 0.175 0.402
Er 0.500 0.402 0.175
Co 0.000 0.398 0.398
Te 0.500 0.069 0.735
Te 0.500 0.735 0.069


11.
The following is a theoretical X-ray diffraction stick pattern of DyEr2Co3Ni6. It was derived from the GGA-PBE geometry in OQMD, using Cu Kα, 1.54184 Å.
Peak positions follow from Bragg's law for the DFT cell and can differ from measured ones.

Principal peaks in the range 2θ from 10° to 90°, low angle first:
| Position (°2θ) | I_rel |
| --- | --- |
| 33.3 | 50.4 |
| 36.4 | 39.6 |
| 36.6 | 50.9 |
| 42.7 | 38.2 |
| 43.1 | 100.0 |
| 46.4 | 13.2 |
| 63.8 | 15.6 |
| 65.8 | 14.1 |
| 70.4 | 19.9 |
| 77.8 | 20.0 |

Atomic structure:
Unit cell a=8.570 b=8.570 c=8.570 alpha=33.29 beta=33.29 gamma=33.29
Element x y z (fractional)
Dy 0.000 0.000 0.000
Er 0.140 0.140 0.140
Er 0.860 0.860 0.860
Co 0.333 0.333 0.333
Co 0.500 0.500 0.500
Co 0.667 0.667 0.667
Ni 0.083 0.582 0.582
Ni 0.418 0.418 0.917
Ni 0.418 0.917 0.418
Ni 0.582 0.083 0.582
Ni 0.582 0.582 0.083
Ni 0.917 0.418 0.418


12.
The following is a theoretical X-ray diffraction stick pattern of Dy2ErCo7Ni2. It was derived from the GGA-PBE geometry in OQMD, using Cu Kα, 1.54184 Å.
Peak positions follow from Bragg's law for the DFT cell and can differ from measured ones.

Principal peaks in the range 2θ from 10° to 90°, low angle first:
| Position (°2θ) | I_rel |
| --- | --- |
| 33.2 | 52.8 |
| 36.2 | 44.1 |
| 36.7 | 57.6 |
| 42.8 | 39.1 |
| 43.1 | 100.0 |
| 63.9 | 16.3 |
| 65.7 | 15.0 |
| 69.2 | 14.4 |
| 70.5 | 21.9 |
| 78.0 | 21.2 |

Atomic structure:
Unit cell a=8.633 b=8.633 c=8.633 alpha=32.97 beta=32.97 gamma=32.97
Element x y z (fractional)
Dy 0.140 0.140 0.140
Dy 0.860 0.860 0.860
Er 0.000 0.000 0.000
Co 0.080 0.582 0.582
Co 0.418 0.418 0.920
Co 0.418 0.920 0.418
Co 0.500 0.500 0.500
Co 0.582 0.080 0.582
Co 0.582 0.582 0.080
Co 0.920 0.418 0.418
Ni 0.334 0.334 0.334
Ni 0.666 0.666 0.666